Diffraction record for TiCuNiPd. The powder XRD pattern is calculated, not measured: it uses DFT lattice parameters and positions (PBE) and Cu Kα X-rays.
Peak positions follow from Bragg's law for the DFT cell and can differ from measured ones.

Structural model:
Cell: 4.5797 4.5797 4.5797 Å, 131.06 131.06 71.71°
Sites, in units of the cell vectors:
Ti 0.0000 0.0000 0.0000
Cu 0.5000 0.5000 0.0000
Ni 0.7500 0.2500 0.5000
Pd 0.2500 0.7500 0.5000

The 10 most intense peaks (10° ≤ 2θ ≤ 80°), by angle:
| 2θ/deg | d (Å) | Rel. int. |
| --- | --- | --- |
| 23.97 | 3.712 | 4 |
| 26.38 | 3.378 | 9 |
| 33.40 | 2.683 | 4 |
| 41.54 | 2.174 | 100 |
| 43.67 | 2.073 | 2 |
| 47.96 | 1.897 | 32 |
| 49.09 | 1.856 | 15 |
| 55.57 | 1.654 | 3 |
| 70.17 | 1.341 | 10 |
| 71.06 | 1.327 | 18 |